Simulated powder X-ray diffraction pattern
Compound: Tb6Dy3Y2Zr
Radiation: Cu Kα X-rays
Structure: the GGA-PBE geometry in Alexandria

Atomic structure:
Cell lengths 6.1002, 6.1002, 11.6534 Å; angles 94.96, 94.96, 119.91 degrees
Fractional coordinates of all 12 atoms:
Tb  0.0817  0.4081  0.7458
Tb  0.2443  0.2443  0.2548
Tb  0.4081  0.0817  0.7458
Tb  0.5919  0.9183  0.2542
Tb  0.7557  0.7557  0.7452
Tb  0.9183  0.5919  0.2542
Dy  0.1665  0.8335  0.0000
Dy  0.5000  0.5000  0.0000
Dy  0.8335  0.1665  0.0000
Y  0.3331  0.6669  0.5000
Y  0.6669  0.3331  0.5000
Zr  0.0000  0.0000  0.5000

Most intense lines, 2θ from 10° to 90°, most intense first:
2θ (°)  d [Å]  Rel. int.
31.11  2.875  100
36.08  2.489  50
61.86  1.500  21
51.90  1.762  18
51.99  1.759  18
61.76  1.502  17